The following is a simulated XRD peak list of CdCo3P8O24. It was derived from a GGA+U-relaxed structure, using a wavelength of 1.5418 Å.
Kinematic intensities with the Lorentz-polarization factor, no thermal factor.

Largest 10 diffraction maxima, in order of rising 2θ, 2θ from 5° to 70°:
(hkl)	2θ/deg	I_rel
1 1 -1	14.08	51.4
1 1 -2	20.55	49.2
3 1 -1	24.52	16.0
3 1 -2	25.83	34.6
3 1 0	27.22	36.9
0 2 2	29.06	100.0
3 1 -3	30.69	21.5
4 0 0	33.69	23.6
4 2 -2	36.72	26.4
1 3 -3	42.09	21.0

```
data_CdCo3P8O24
_symmetry_space_group_name_H-M 'C 1 2 1'
_symmetry_Int_Tables_number 5
_symmetry_space_group_name_Hall 'C 2y'
_cell_length_a 12.0733
_cell_length_b 8.5419
_cell_length_c 10.0414
_cell_angle_alpha 90.00
_cell_angle_beta 118.18
_cell_angle_gamma 90.00
loop_
_atom_site_label
_atom_site_type_symbol
_atom_site_fract_x
_atom_site_fract_y
_atom_site_fract_z
Cd1 Cd 0.0000 0.0000 0.0000
Co1 Co 0.0000 0.9055 0.5000
Co2 Co 0.2469 0.7032 0.7468
P1 P 0.0042 0.2181 0.7181
P2 P 0.0111 0.6796 0.2307
P3 P 0.1897 0.4446 0.9436
P4 P 0.1967 0.4530 0.4527
O1 O 0.0373 0.0766 0.6580
O2 O 0.0485 0.8175 0.1727
O3 O 0.0507 0.7090 0.6688
O4 O 0.0574 0.1996 0.1806
O5 O 0.0769 0.5659 0.9080
O6 O 0.0849 0.3300 0.4211
O7 O 0.1303 0.3199 0.8056
O8 O 0.1343 0.5735 0.3138
O9 O 0.2014 0.8707 0.5685
O10 O 0.2106 0.0322 0.0769
O11 O 0.2263 0.3702 0.0923
O12 O 0.2305 0.5306 0.5986
```